This entry pairs a crystal structure of Li8Mn3Fe5B8O24 with its simulated powder diffraction line list. Radiation: Cu Kα (weighted mean of Kα1 and Kα2). Structure: a structure optimized by DFT (PBE+U).
Kinematic intensities with the Lorentz-polarization factor, no thermal factor.

Peak list (6 most intense, 15° ≤ 2θ ≤ 90°, by angle)
2θ 20.39, intensity 772, hkl 1 0 -2; 2θ 22.21, intensity 330, hkl 0 0 4; 2θ 22.56, intensity 609, hkl 1 1 1; 2θ 33.54, intensity 1000, hkl 0 2 -2; 2θ 34.15, intensity 312, hkl 1 1 5; 2θ 41.02, intensity 320, hkl 2 0 4

Cell and atoms:
```
Li8Mn3Fe5B8O24
1.0
5.230 0.000 0.000
0.100 6.024 0.000
0.219 2.303 16.009
Li Mn Fe B O
8 3 5 8 24
direct
0.000 0.000 0.000
0.001 0.498 0.503
0.193 0.381 0.030
0.195 0.879 0.532
0.500 0.245 0.254
0.501 0.750 0.750
0.693 0.130 0.780
0.697 0.627 0.283
0.019 0.085 0.182
0.517 0.842 0.930
0.678 0.537 0.102
0.009 0.590 0.683
0.173 0.291 0.848
0.177 0.783 0.354
0.520 0.338 0.431
0.678 0.041 0.598
0.018 0.779 0.842
0.023 0.275 0.347
0.177 0.103 0.687
0.179 0.597 0.190
0.518 0.526 0.595
0.519 0.030 0.094
0.676 0.351 0.936
0.678 0.849 0.438
0.030 0.730 0.238
0.033 0.234 0.737
0.051 0.992 0.629
0.061 0.483 0.132
0.135 0.891 0.901
0.145 0.391 0.403
0.165 0.140 0.299
0.168 0.646 0.794
0.258 0.554 0.584
0.259 0.053 0.080
0.437 0.076 0.699
0.439 0.574 0.204
0.530 0.483 0.985
0.536 0.981 0.488
0.552 0.235 0.880
0.555 0.737 0.381
0.636 0.145 0.152
0.644 0.637 0.652
0.663 0.394 0.546
0.669 0.895 0.047
0.758 0.803 0.829
0.760 0.299 0.336
0.938 0.327 0.948
0.940 0.825 0.449
```